Computed PXRD pattern
Compound: DyTaOs4
Radiation: Cu Kα X-rays
Structure: a crystal structure in Alexandria, relaxed with PBE
Lines closer than 0.1° are merged.

Most intense lines, 2θ from 10° to 90°, by angle:
| two_theta | I (rel.) |
| --- | --- |
| 20.72 | 9 |
| 34.15 | 24 |
| 40.28 | 100 |
| 42.16 | 44 |
| 49.07 | 6 |
| 53.81 | 2 |
| 61.14 | 9 |
| 65.29 | 33 |
| 71.93 | 29 |
| 82.08 | 4 |
| 85.81 | 12 |
| 87.05 | 17 |

Structural model:
Cell: 5.2507 5.2507 5.2507 Å, 60.00 60.00 60.00°
Sites, in units of the cell vectors:
Dy  0.0000  0.0000  0.0000
Ta  0.7500  0.7500  0.7500
Os  0.3748  0.3748  0.3748
Os  0.3748  0.3748  0.8756
Os  0.3748  0.8756  0.3748
Os  0.8756  0.3748  0.3748